This entry pairs a crystal structure of Rb2CrCdBr6 with its theoretical powder diffraction line list. Radiation: Cu Kα (λ = 1.5418 Å). Structure: a crystal structure in Alexandria, relaxed with GGA-PBE.
Lines closer than 0.1° are merged.

Cell: 10.895 10.895 10.895 Å, 90.00 90.00 90.00°
Space group Fm-3m (No. 225)
Unique sites:
Rb (0.250, 0.250, 0.250) [8 per cell]
Cr (0.000, 0.000, 0.000) [4 per cell]
Cd (0.000, 0.000, 0.500) [4 per cell]
Br (0.000, 0.000, 0.241) [24 per cell]

Most intense lines, 2θ = 15–90°, by angle:
2θ = 16.3°, rel. 22, (2 0 0)
2θ = 23.1°, rel. 23, (2 2 0)
2θ = 28.4°, rel. 70, (2 2 2)
2θ = 32.9°, rel. 100, (4 0 0)
2θ = 47.2°, rel. 70, (4 4 0)
2θ = 56.0°, rel. 29, (6 2 2)
2θ = 58.7°, rel. 24, (4 4 4)
2θ = 76.2°, rel. 12, (6 6 2)
2θ = 78.5°, rel. 30, (8 4 0)
2θ = 87.8°, rel. 23, (8 4 4)